La8SnRu3I4: theoretical powder diffractogram (a wavelength of 1.5418 Å), based on DFT lattice parameters and positions (GGA-PBE).
Intensities are scaled so that the largest is 100.

Principal peaks in the range 15° ≤ 2θ ≤ 90°, sorted by position:
| Position (°2θ) | Rel. int. |
| --- | --- |
| 27.76 | 100.0 |
| 29.89 | 12.2 |
| 34.99 | 9.4 |
| 37.87 | 27.2 |
| 41.41 | 37.3 |
| 50.59 | 17.7 |
| 53.91 | 9.1 |
| 57.35 | 7.5 |
| 67.36 | 13.6 |
| 73.17 | 7.2 |

```
data_La8SnRu3I4
_chemical_formula_sum 'La24 Sn3 Ru9 I12'
_cell_length_a 8.7228
_cell_length_b 8.7228
_cell_length_c 24.4505
_cell_angle_alpha 90.00
_cell_angle_beta 90.00
_cell_angle_gamma 120.00
_symmetry_space_group_name_H-M 'R -3 m'
_symmetry_Int_Tables_number 166
_symmetry_space_group_name_Hall '-R 3 2"'
loop_
_atom_site_label
_atom_site_type_symbol
_atom_site_fract_x
_atom_site_fract_y
_atom_site_fract_z
_atom_site_occupancy
La1 La 0.0000 0.0000 0.2323 1
La2 La 0.0289 0.5144 0.7718 1
Sn1 Sn 0.0000 0.0000 0.5000 1
Ru1 Ru 0.0000 0.5000 0.5000 1
I1 I 0.0000 0.0000 0.0000 1
I2 I 0.0000 0.5000 0.0000 1
```